For Mn2FeSiO6, a structure optimized by DFT (GGA+U) gives the computed powder X-ray diffraction pattern in this record (Cu Kα).
Kinematic intensities with the Lorentz-polarization factor, no thermal factor.

Main lines, by angle (5° ≤ 2θ ≤ 70°):
- 24.4 deg, rel. 26
- 24.6 deg, rel. 30
- 24.7 deg, rel. 29
- 33.5 deg, rel. 52
- 33.7 deg, rel. 100
- 36.2 deg, rel. 84
- 36.4 deg, rel. 40
- 50.0 deg, rel. 21
- 54.7 deg, rel. 22
- 54.8 deg, rel. 23
- 55.3 deg, rel. 38
- 65.0 deg, rel. 20

Cell and atoms:
abc: 4.937 4.957 5.335
angles: 117.13 90.39 119.76
Sites, in units of the cell vectors:
Mn 0.000 0.000 0.000
Mn 0.490 0.981 0.478
Fe 0.286 0.574 0.876
Si 0.799 0.600 0.410
O 0.059 0.490 0.219
O 0.178 0.049 0.672
O 0.431 0.152 0.217
O 0.616 0.793 0.677
O 0.714 0.777 0.214
O 0.876 0.485 0.676